The following is a computed powder X-ray diffraction pattern of Nd6Zn2Ni. It was derived from a crystal structure in Alexandria, relaxed with GGA-PBE, using CuKα.
No peak broadening, texture or thermal motion is included.

Crystal structure
```
data_Nd6Zn2Ni
_chemical_formula_sum 'Nd12 Zn4 Ni2'
_symmetry_space_group_name_H-M 'P 1 21/c 1'
_symmetry_Int_Tables_number 14
_symmetry_space_group_name_Hall '-P 2ybc'
_cell_length_a 6.3119
_cell_length_b 9.4638
_cell_length_c 9.7183
_cell_angle_alpha 90.00
_cell_angle_beta 119.29
_cell_angle_gamma 90.00
loop_
_atom_site_label
_atom_site_fract_x
_atom_site_fract_y
_atom_site_fract_z
Nd1 0.0760 0.1825 0.4833
Nd2 0.3563 0.6798 0.4542
Nd3 0.3956 0.0283 0.2850
Zn1 0.1144 0.0889 0.7816
Ni1 0.0000 0.0000 0.0000
```

Principal peaks in the range 10 to 90 degrees two-theta, by intensity:
index  2θ/deg  d/Å  I_rel
1 3 -1  31.82  2.812  100
0 2 2  28.27  3.157  87
2 1 -2  30.31  2.948  81
1 2 1  29.98  2.981  46
2 1 -3  33.83  2.650  45
2 1 0  33.92  2.643  39



The following is a computed powder X-ray diffraction pattern of Li3Sc5O8. It was derived from a crystal structure in Alexandria, relaxed with GGA-PBE, using CuKα.
No peak broadening, texture or thermal motion is included.

Crystal structure
```
data_Li3Sc5O8
_chemical_formula_sum 'Li9 Sc15 O24'
_symmetry_space_group_name_H-M 'R -3 m'
_symmetry_Int_Tables_number 166
_symmetry_space_group_name_Hall '-R 3 2"'
_cell_length_a 6.2199
_cell_length_b 6.2199
_cell_length_c 15.1048
_cell_angle_alpha 90.00
_cell_angle_beta 90.00
_cell_angle_gamma 120.00
loop_
_atom_site_label
_atom_site_fract_x
_atom_site_fract_y
_atom_site_fract_z
Li1 0.0000 0.5000 0.0000
Sc1 0.0000 0.0000 0.0000
Sc2 0.0000 0.0000 0.5000
Sc3 0.0000 0.5000 0.5000
O1 0.0000 0.0000 0.2429
O2 0.0027 0.5013 0.7512
```

Principal peaks in the range 10 to 90 degrees two-theta, by intensity:
index  2θ/deg  d/Å  I_rel
0 2 4  41.17  2.193  100
0 0 3  17.61  5.035  39
2 2 0  59.44  1.555  28
2 0 8  59.82  1.546  27
0 2 1  33.82  2.651  22
1 0 1  17.48  5.074  13